Starting from a GGA-PBE-relaxed structure, the powder X-ray diffraction pattern of Ba4Ga2S7 was simulated for copper Kα.
Peak positions follow from Bragg's law for the DFT cell and can differ from measured ones.

Main lines, in order of falling intensity (2θ = 10–90°):
2θ (°)	I (rel.)
24.7	100
32.3	40
19.9	28
31.6	23
24.0	23
31.9	22
36.0	21
34.0	21
32.9	18
33.6	17

Crystal structure
abc: 9.1457 7.2218 11.9708
angles: 90.00 109.00 90.00
Space group P2_1/m (No. 11)
One atom of each set of equivalent atoms:
Ba  0.0094  0.2500  0.3879 [2 per cell]
Ba  0.0760  0.2500  0.9327 [2 per cell]
Ba  0.3701  0.7500  0.3908 [2 per cell]
Ba  0.4688  0.7500  0.8168 [2 per cell]
Ga  0.2685  0.2500  0.6881 [2 per cell]
Ga  0.3127  0.7500  0.0799 [2 per cell]
S  0.0101  0.2500  0.6567 [2 per cell]
S  0.1638  0.7500  0.8866 [2 per cell]
S  0.2415  0.0027  0.1654 [4 per cell]
S  0.3150  0.0002  0.5883 [4 per cell]
S  0.4176  0.2500  0.8890 [2 per cell]


Starting from a GGA-PBE-relaxed structure, the powder X-ray diffraction pattern of Ba2GaSbS5 was simulated for copper Kα.
Peak positions follow from Bragg's law for the DFT cell and can differ from measured ones.

Main lines, in order of falling intensity (2θ = 10–90°):
2θ (°)	I (rel.)
28.8	100
23.7	42
30.6	36
24.5	31
40.2	25
17.4	23
26.4	22
42.1	21
23.2	21
43.0	20

Crystal structure
abc: 12.3517 8.9717 9.1235
angles: 90.00 90.00 90.00
Space group Pnma (No. 62)
One atom of each set of equivalent atoms:
Ba  0.1770  0.0066  0.1220 [8 per cell]
Ga  0.0947  0.7500  0.8287 [4 per cell]
Sb  0.0234  0.7500  0.4764 [4 per cell]
S  0.0077  0.2500  0.9694 [4 per cell]
S  0.0547  0.5518  0.6725 [8 per cell]
S  0.2108  0.7500  0.3825 [4 per cell]
S  0.2267  0.2500  0.3829 [4 per cell]